Record 1
Diffraction record for Rb3I6O. The X-ray diffraction stick pattern is simulated, not measured: it uses a crystal structure in Alexandria, relaxed with GGA-PBE and Cu Kα.

Structure:
```
data_Rb3I6O
_chemical_formula_sum 'Rb6 I12 O2'
_cell_length_a 8.1506
_cell_length_b 8.1506
_cell_length_c 15.3444
_cell_angle_alpha 90.00
_cell_angle_beta 90.00
_cell_angle_gamma 90.00
_symmetry_space_group_name_H-M 'I 4/m m m'
_symmetry_Int_Tables_number 139
_symmetry_space_group_name_Hall '-I 4 2'
loop_
_atom_site_label
_atom_site_type_symbol
_atom_site_fract_x
_atom_site_fract_y
_atom_site_fract_z
Rb1 Rb 0.0000 0.0000 0.0000
Rb2 Rb 0.0000 0.5000 0.2500
I1 I 0.0000 0.0000 0.2304
I2 I 0.2037 0.2037 0.5000
O1 O 0.0000 0.0000 0.5000
```

Peak list (8 most intense, 2θ = 15–90°, by intensity)
| 2theta | Rel. int. | hkl |
| --- | --- | --- |
| 24.74 | 100 | 2 0 2 |
| 23.19 | 55 | 0 0 4 |
| 31.03 | 40 | 2 2 0 |
| 39.10 | 40 | 2 2 4 |
| 44.51 | 24 | 4 0 0 |
| 41.70 | 21 | 2 0 6 |
| 33.50 | 20 | 3 0 1 |
| 25.11 | 17 | 2 1 1 |

---

Record 2
Diffraction record for Rb9IO3. The X-ray diffraction stick pattern is simulated, not measured: it uses a crystal structure in Alexandria, relaxed with GGA-PBE and Cu Kα.

Structure:
```
data_Rb9IO3
_chemical_formula_sum 'Rb9 I1 O3'
_cell_length_a 10.6626
_cell_length_b 10.6626
_cell_length_c 5.7648
_cell_angle_alpha 90.00
_cell_angle_beta 90.00
_cell_angle_gamma 120.00
_symmetry_space_group_name_H-M 'P 6/m m m'
_symmetry_Int_Tables_number 191
_symmetry_space_group_name_Hall '-P 6 2'
loop_
_atom_site_label
_atom_site_type_symbol
_atom_site_fract_x
_atom_site_fract_y
_atom_site_fract_z
Rb1 Rb 0.0000 0.5000 0.0000
Rb2 Rb 0.2033 0.4066 0.5000
I1 I 0.0000 0.0000 0.0000
O1 O 0.0000 0.5000 0.5000
```

Peak list (8 most intense, 2θ = 15–90°, by intensity)
| 2theta | Rel. int. | hkl |
| --- | --- | --- |
| 24.70 | 100 | 2 0 1 |
| 33.62 | 33 | 2 2 0 |
| 25.52 | 29 | 2 1 0 |
| 31.03 | 28 | 0 0 2 |
| 46.40 | 26 | 2 2 2 |
| 29.93 | 22 | 2 1 1 |
| 40.59 | 17 | 2 1 2 |
| 51.50 | 16 | 2 0 3 |